Structure and simulated powder XRD pattern of BC (a crystal structure in Alexandria, relaxed with GGA-PBE; Cu Ka).

The 8 most intense peaks (10 to 80 degrees two-theta), in order of falling intensity:
- 11.8 deg, I 100, hkl 0 0 2
- 40.7 deg, I 46, hkl 0 1 2
- 17.8 deg, I 22, hkl 0 0 3
- 42.3 deg, I 20, hkl 0 0 7
- 70.2 deg, I 17, hkl 1 1 0
- 43.0 deg, I 12, hkl 0 1 3
- 69.6 deg, I 12, hkl 0 1 9
- 23.8 deg, I 7, hkl 0 0 4

Crystal structure
```
data_BC
_cell_length_a 2.6826
_cell_length_b 2.6826
_cell_length_c 14.9538
_cell_angle_alpha 90.00
_cell_angle_beta 90.00
_cell_angle_gamma 120.00
_space_group_name_H-M_alt 'P 3 m 1'
_space_group_IT_number 156
_space_group_name_Hall 'P 3 -2"'
loop_
_atom_site_label
_atom_site_type_symbol
_atom_site_fract_x
_atom_site_fract_y
_atom_site_fract_z
B1 B 0.0000 0.0000 0.0000
B2 B 0.0000 0.0000 0.1224
B3 B 0.0000 0.0000 0.4437
B4 B 0.0000 0.0000 0.7182
B5 B 0.3333 0.6667 0.1798
B6 B 0.6667 0.3333 0.8725
C1 C 0.3333 0.6667 0.2862
C2 C 0.3333 0.6667 0.7301
C3 C 0.3333 0.6667 0.8372
C4 C 0.6667 0.3333 0.3208
C5 C 0.6667 0.3333 0.4309
C6 C 0.6667 0.3333 0.9931
```

=====

Structure and simulated powder XRD pattern of B5C7 (a crystal structure in Alexandria, relaxed with GGA-PBE; Cu Ka).

The 8 most intense peaks (10 to 80 degrees two-theta), in order of falling intensity:
- 40.9 deg, I 100, hkl 1 3 -1
- 42.3 deg, I 94, hkl 1 3 1
- 15.3 deg, I 44, hkl 0 2 0
- 70.1 deg, I 37, hkl 2 0 -2
- 70.6 deg, I 23, hkl 2 6 0
- 74.1 deg, I 12, hkl 2 0 2
- 30.8 deg, I 10, hkl 0 4 0
- 52.1 deg, I 6, hkl 1 5 -1

Crystal structure
```
data_B5C7
_cell_length_a 3.6915
_cell_length_b 11.6045
_cell_length_c 3.7312
_cell_angle_alpha 90.00
_cell_angle_beta 92.78
_cell_angle_gamma 90.00
_space_group_name_H-M_alt 'C 1 2 1'
_space_group_IT_number 5
_space_group_name_Hall 'C 2y'
loop_
_atom_site_label
_atom_site_type_symbol
_atom_site_fract_x
_atom_site_fract_y
_atom_site_fract_z
B1 B 0.0000 0.0000 0.0000
B2 B 0.0000 0.1449 0.5000
B3 B 0.0000 0.5045 0.5000
B4 B 0.2312 0.8818 0.2280
C1 C 0.0000 0.3043 0.0000
C2 C 0.0000 0.6514 0.0000
C3 C 0.0000 0.8038 0.5000
C4 C 0.2380 0.5749 0.2355
C5 C 0.2384 0.7333 0.7629
```

=====

Structure and simulated powder XRD pattern of B5C7 (a crystal structure in Alexandria, relaxed with GGA-PBE; Cu Ka).

The 8 most intense peaks (10 to 80 degrees two-theta), in order of falling intensity:
- 41.7 deg, I 100, hkl 1 1 -1
- 41.4 deg, I 52, hkl 0 0 3
- 41.3 deg, I 48, hkl 2 0 1
- 70.6 deg, I 38, hkl 3 1 0
- 70.8 deg, I 22, hkl 1 1 -4
- 27.3 deg, I 16, hkl 0 0 2
- 71.5 deg, I 14, hkl 0 2 0
- 13.5 deg, I 7, hkl 0 0 1

Crystal structure
```
data_B5C7
_cell_length_a 4.6379
_cell_length_b 2.6399
_cell_length_c 6.5356
_cell_angle_alpha 90.00
_cell_angle_beta 90.12
_cell_angle_gamma 90.00
_space_group_name_H-M_alt 'P 1 m 1'
_space_group_IT_number 6
_space_group_name_Hall 'P -2y'
loop_
_atom_site_label
_atom_site_type_symbol
_atom_site_fract_x
_atom_site_fract_y
_atom_site_fract_z
B1 B 0.0000 0.0000 0.0000
B2 B 0.0033 0.0000 0.3517
B3 B 0.1652 0.5000 0.7232
B4 B 0.5083 0.5000 0.3031
B5 B 0.6689 0.0000 0.7210
C1 C 0.1801 0.5000 0.9762
C2 C 0.3366 0.0000 0.3977
C3 C 0.3369 0.0000 0.6226
C4 C 0.4976 0.5000 0.0418
C5 C 0.6583 0.0000 0.9812
C6 C 0.8296 0.5000 0.3973
C7 C 0.8345 0.5000 0.6249
```

=====

Structure and simulated powder XRD pattern of B5C7 (a crystal structure in Alexandria, relaxed with GGA-PBE; Cu Ka).

The 8 most intense peaks (10 to 80 degrees two-theta), in order of falling intensity:
- 42.7 deg, I 100, hkl 1 2 1
- 41.3 deg, I 83, hkl 0 1 2
- 43.0 deg, I 79, hkl 2 0 0
- 40.2 deg, I 70, hkl 1 -1 1
- 69.9 deg, I 24, hkl 1 0 3
- 69.2 deg, I 22, hkl 3 -1 1
- 70.2 deg, I 22, hkl 1 3 3
- 72.2 deg, I 20, hkl -2 1 2

Crystal structure
```
data_B5C7
_cell_length_a 4.4976
_cell_length_b 4.6498
_cell_length_c 4.6605
_cell_angle_alpha 60.13
_cell_angle_beta 69.96
_cell_angle_gamma 84.71
_space_group_name_H-M_alt 'P 1'
_space_group_IT_number 1
_space_group_name_Hall 'P 1'
loop_
_atom_site_label
_atom_site_type_symbol
_atom_site_fract_x
_atom_site_fract_y
_atom_site_fract_z
B1 B 0.0000 0.0000 0.0000
B2 B 0.0180 0.3595 0.3505
B3 B 0.1698 0.4459 0.9167
B4 B 0.5547 0.0382 0.4799
B5 B 0.5922 0.4256 0.4613
C1 C 0.0276 0.7286 0.6465
C2 C 0.1398 0.7377 0.2843
C3 C 0.1600 0.0683 0.6105
C4 C 0.5094 0.7386 0.1487
C5 C 0.5344 0.3864 0.8432
C6 C 0.6411 0.0716 0.1000
C7 C 0.6552 0.7241 0.7860
```

=====

Structure and simulated powder XRD pattern of BC9 (a crystal structure in Alexandria, relaxed with GGA-PBE; Cu Ka).

The 7 most intense peaks (10 to 80 degrees two-theta), in order of falling intensity:
- 43.6 deg, I 100, hkl 0 1 5
- 42.9 deg, I 31, hkl 0 0 15
- 74.7 deg, I 25, hkl 1 1 0
- 73.8 deg, I 25, hkl 0 1 20
- 16.8 deg, I 2, hkl 0 0 6
- 25.4 deg, I 1, hkl 0 0 9
- 52.1 deg, I 1, hkl 0 0 18

Crystal structure
```
data_BC9
_cell_length_a 2.5406
_cell_length_b 2.5406
_cell_length_c 31.6153
_cell_angle_alpha 90.00
_cell_angle_beta 90.00
_cell_angle_gamma 120.00
_space_group_name_H-M_alt 'R 3 m'
_space_group_IT_number 160
_space_group_name_Hall 'R 3 -2"'
loop_
_atom_site_label
_atom_site_type_symbol
_atom_site_fract_x
_atom_site_fract_y
_atom_site_fract_z
B1 B 0.0000 0.0000 0.0000
C1 C 0.0000 0.0000 0.1513
C2 C 0.0000 0.0000 0.2003
C3 C 0.0000 0.0000 0.3550
C4 C 0.0000 0.0000 0.4026
C5 C 0.0000 0.0000 0.5500
C6 C 0.0000 0.0000 0.5991
C7 C 0.0000 0.0000 0.7528
C8 C 0.0000 0.0000 0.8017
C9 C 0.0000 0.0000 0.9488
```

=====

Structure and simulated powder XRD pattern of B3C2 (a crystal structure in Alexandria, relaxed with GGA-PBE; Cu Ka).

The 8 most intense peaks (10 to 80 degrees two-theta), in order of falling intensity:
- 40.6 deg, I 100, hkl 0 1 5
- 13.7 deg, I 96, hkl 0 0 6
- 20.6 deg, I 52, hkl 0 0 9
- 70.4 deg, I 30, hkl 1 1 0
- 42.0 deg, I 19, hkl 0 0 18
- 43.3 deg, I 16, hkl 0 1 8
- 68.9 deg, I 16, hkl 0 1 23
- 27.6 deg, I 16, hkl 0 0 12

Crystal structure
```
data_B3C2
_cell_length_a 2.6752
_cell_length_b 2.6752
_cell_length_c 38.7461
_cell_angle_alpha 90.00
_cell_angle_beta 90.00
_cell_angle_gamma 120.00
_space_group_name_H-M_alt 'R 3 m'
_space_group_IT_number 160
_space_group_name_Hall 'R 3 -2"'
loop_
_atom_site_label
_atom_site_type_symbol
_atom_site_fract_x
_atom_site_fract_y
_atom_site_fract_z
B1 B 0.0000 0.0000 0.0000
B2 B 0.0000 0.0000 0.0439
B3 B 0.0000 0.0000 0.1636
B4 B 0.0000 0.0000 0.2621
B5 B 0.0000 0.0000 0.6395
B6 B 0.0000 0.0000 0.7838
C1 C 0.0000 0.0000 0.3961
C2 C 0.0000 0.0000 0.4323
C3 C 0.0000 0.0000 0.5988
C4 C 0.0000 0.0000 0.8263
```